Structure and theoretical powder XRD pattern of K2Cd3Ge2S8 (a cell relaxed with GGA-PBE; Cu Kα (weighted mean of Kα1 and Kα2)).
Kinematic intensities with the Lorentz-polarization factor, no thermal factor.

Cell and atoms:
abc: 9.537 8.552 9.690
angles: 90.00 93.60 90.00
Space group C2 (No. 5)
Unique sites:
K 0.215 0.000 0.222 [4 per cell]
Cd 0.000 0.273 0.500 [2 per cell]
Cd 0.000 0.641 0.000 [2 per cell]
Cd 0.000 0.745 0.500 [2 per cell]
Ge 0.238 0.482 0.264 [4 per cell]
S 0.035 0.353 0.252 [4 per cell]
S 0.073 0.827 0.746 [4 per cell]
S 0.246 0.120 0.538 [4 per cell]
S 0.246 0.639 0.079 [4 per cell]

The 12 most intense peaks (10 to 90 degrees two-theta), in order of rising 2θ:
d = 6.361 Å, 2θ 13.92, rel. 32, (1 1 0)
d = 5.420 Å, 2θ 16.35, rel. 46, (1 1 -1)
d = 3.911 Å, 2θ 22.74, rel. 32, (0 2 1)
d = 3.504 Å, 2θ 25.42, rel. 31, (2 0 -2)
d = 3.290 Å, 2θ 27.10, rel. 22, (2 0 2)
d = 3.203 Å, 2θ 27.85, rel. 100, (0 2 2)
d = 3.181 Å, 2θ 28.05, rel. 90, (2 2 0)
d = 3.060 Å, 2θ 29.19, rel. 35, (2 2 -1)
d = 2.418 Å, 2θ 37.19, rel. 38, (0 0 4)
d = 2.380 Å, 2θ 37.81, rel. 37, (4 0 0)
d = 1.949 Å, 2θ 46.59, rel. 22, (4 2 -2)
d = 1.793 Å, 2θ 50.93, rel. 23, (2 4 2)